Computed XRD peak list
Compound: Pa3Tl2VO12
Radiation: Cu Kα (weighted mean of Kα1 and Kα2)
Structure: a structure optimized by DFT (GGA+U)
Neutral-atom scattering factors, no anomalous dispersion.

Structural model:
a b c (Å): 7.9882 7.9882 18.5568
angles (deg): 90.00 90.00 120.00
Space group R-3m (No. 166, hexagonal axes)
Unique sites:
Pa 0.0000 0.5000 0.0000 (multiplicity 9)
Tl 0.0000 0.0000 0.1038 (multiplicity 6)
V 0.0000 0.0000 0.5000 (multiplicity 3)
O 0.0700 0.5350 0.3606 (multiplicity 18)
O 0.1094 0.5547 0.1092 (multiplicity 18)

The 10 most intense peaks (2θ = 10–90°), low angle first:
d (Å)	I/Imax	h k l
6.186	42	0 0 3
3.853	36	1 0 4
3.400	100	0 2 1
3.355	45	1 1 3
3.270	50	0 1 5
3.241	73	2 0 2
2.445	22	1 1 6
2.138	24	1 2 5
1.997	38	2 2 0
1.927	25	2 0 8